(1)
Theoretical powder diffractogram
Compound: IrOsO4
Radiation: a wavelength of 1.5418 Å
Structure: a cell relaxed with PBE

Cell and atoms:
a b c (Å): 4.4884 3.1870 4.5032
angles (deg): 90.00 90.30 90.00
Atoms (fractional coordinates):
Ir 0.0000 0.0000 0.0000
Os 0.5000 0.5000 0.5000
O 0.1962 0.5000 0.1952
O 0.3116 0.0000 0.6873
O 0.6884 0.0000 0.3127
O 0.8038 0.5000 0.8048

The 10 most intense peaks (10 to 90 degrees two-theta), by angle:
| 2theta | I/Imax |
| --- | --- |
| 27.99 | 52 |
| 28.14 | 50 |
| 34.50 | 100 |
| 40.04 | 15 |
| 40.18 | 15 |
| 53.83 | 36 |
| 54.01 | 35 |
| 57.86 | 16 |
| 65.48 | 14 |
| 65.59 | 13 |


(2)
Theoretical powder diffractogram
Compound: Ir2PbO6
Radiation: a wavelength of 1.5418 Å
Structure: a cell relaxed with PBE

Cell and atoms:
a b c (Å): 5.3224 5.3224 4.9223
angles (deg): 90.00 90.00 120.00
Atoms (fractional coordinates):
Ir 0.3333 0.6667 0.0000
Ir 0.6667 0.3333 0.0000
Pb 0.0000 0.0000 0.5000
O 0.0000 0.3783 0.7853
O 0.0000 0.6217 0.2147
O 0.3783 0.0000 0.7853
O 0.3783 0.3783 0.2147
O 0.6217 0.0000 0.2147
O 0.6217 0.6217 0.7853

The 10 most intense peaks (10 to 90 degrees two-theta), by angle:
| 2theta | I/Imax |
| --- | --- |
| 18.02 | 11 |
| 26.49 | 100 |
| 33.68 | 49 |
| 36.51 | 11 |
| 43.35 | 26 |
| 50.51 | 43 |
| 55.99 | 26 |
| 60.23 | 14 |
| 72.53 | 11 |
| 77.08 | 11 |


(3)
Theoretical powder diffractogram
Compound: Ir4Pb4O13
Radiation: a wavelength of 1.5418 Å
Structure: a cell relaxed with PBE

Cell and atoms:
a b c (Å): 7.2690 7.2690 7.2690
angles (deg): 60.00 60.00 60.00
Atoms (fractional coordinates):
Ir 0.1248 0.1248 0.1248
Ir 0.1248 0.1248 0.6256
Ir 0.1248 0.6256 0.1248
Ir 0.6256 0.1248 0.1248
Pb 0.1340 0.6220 0.6220
Pb 0.6220 0.1340 0.6220
Pb 0.6220 0.6220 0.1340
Pb 0.6220 0.6220 0.6220
O 0.0451 0.0451 0.4549
O 0.0451 0.4549 0.0451
O 0.0451 0.4549 0.4549
O 0.2021 0.2021 0.7979
O 0.2021 0.7979 0.2021
O 0.2021 0.7979 0.7979
O 0.4549 0.0451 0.0451
O 0.4549 0.0451 0.4549
O 0.4549 0.4549 0.0451
O 0.7500 0.7500 0.7500
O 0.7979 0.2021 0.2021
O 0.7979 0.2021 0.7979
O 0.7979 0.7979 0.2021

The 10 most intense peaks (10 to 90 degrees two-theta), by angle:
| 2theta | I/Imax |
| --- | --- |
| 30.11 | 100 |
| 34.91 | 40 |
| 38.16 | 1 |
| 45.87 | 1 |
| 50.20 | 43 |
| 59.66 | 45 |
| 62.61 | 12 |
| 73.73 | 7 |
| 81.65 | 19 |
| 84.25 | 17 |


(4)
Theoretical powder diffractogram
Compound: TmIrPb2O6
Radiation: a wavelength of 1.5418 Å
Structure: a cell relaxed with PBE

Cell and atoms:
a b c (Å): 5.7740 5.7740 10.0421
angles (deg): 106.04 106.04 59.79
Atoms (fractional coordinates):
Tm 0.2486 0.7514 0.7500
Tm 0.7514 0.2486 0.2500
Ir 0.0000 0.5000 0.0000
Ir 0.5000 0.0000 0.5000
Pb 0.1013 0.6377 0.3736
Pb 0.3623 0.8987 0.1264
Pb 0.6377 0.1013 0.8736
Pb 0.8987 0.3623 0.6264
O 0.1138 0.6959 0.9190
O 0.1211 0.1843 0.8491
O 0.1843 0.1211 0.3491
O 0.3041 0.8862 0.5810
O 0.3326 0.3567 0.6207
O 0.3567 0.3326 0.1207
O 0.6433 0.6674 0.8793
O 0.6674 0.6433 0.3793
O 0.6959 0.1138 0.4190
O 0.8157 0.8789 0.6509
O 0.8789 0.8157 0.1509
O 0.8862 0.3041 0.0810

The 10 most intense peaks (10 to 90 degrees two-theta), by angle:
| 2theta | I/Imax |
| --- | --- |
| 30.55 | 25 |
| 30.94 | 100 |
| 31.08 | 24 |
| 44.14 | 24 |
| 44.51 | 12 |
| 54.48 | 11 |
| 54.62 | 11 |
| 55.23 | 30 |
| 64.40 | 7 |
| 64.57 | 7 |


(5)
Theoretical powder diffractogram
Compound: Ir2Pd2O5
Radiation: a wavelength of 1.5418 Å
Structure: a cell relaxed with PBE

Cell and atoms:
a b c (Å): 3.3274 3.3274 9.5967
angles (deg): 90.00 90.00 90.00
Atoms (fractional coordinates):
Ir 0.0000 0.0000 0.0000
Ir 0.0000 0.0000 0.5000
Pd 0.5000 0.5000 0.2193
Pd 0.5000 0.5000 0.7807
O 0.0000 0.5000 0.3761
O 0.0000 0.5000 0.6239
O 0.5000 0.0000 0.3761
O 0.5000 0.0000 0.6239
O 0.5000 0.5000 0.0000

The 10 most intense peaks (10 to 90 degrees two-theta), by angle:
| 2theta | I/Imax |
| --- | --- |
| 18.49 | 12 |
| 32.75 | 100 |
| 37.49 | 13 |
| 38.25 | 31 |
| 54.64 | 27 |
| 55.22 | 18 |
| 64.66 | 9 |
| 65.70 | 27 |
| 68.65 | 9 |
| 81.89 | 6 |


(6)
Theoretical powder diffractogram
Compound: ZnIr2PdO6
Radiation: a wavelength of 1.5418 Å
Structure: a cell relaxed with PBE

Cell and atoms:
a b c (Å): 6.1380 6.1380 3.1681
angles (deg): 90.00 90.00 109.20
Atoms (fractional coordinates):
Zn 0.0000 0.0000 0.0000
Ir 0.0000 0.5000 0.5000
Ir 0.5000 0.0000 0.5000
Pd 0.5000 0.5000 0.0000
O 0.1559 0.8441 0.5000
O 0.1604 0.4217 0.0000
O 0.4217 0.1604 0.0000
O 0.5783 0.8396 0.0000
O 0.8396 0.5783 0.0000
O 0.8441 0.1559 0.5000

The 10 most intense peaks (10 to 90 degrees two-theta), by angle:
| 2theta | I/Imax |
| --- | --- |
| 17.73 | 29 |
| 30.85 | 100 |
| 33.48 | 86 |
| 35.90 | 24 |
| 38.04 | 42 |
| 51.40 | 15 |
| 53.30 | 56 |
| 61.40 | 18 |
| 62.74 | 28 |
| 67.37 | 21 |


(7)
Theoretical powder diffractogram
Compound: Pr2IrO4
Radiation: a wavelength of 1.5418 Å
Structure: a cell relaxed with PBE

Cell and atoms:
a b c (Å): 6.9691 6.9691 6.9691
angles (deg): 60.00 60.00 60.00
Atoms (fractional coordinates):
Pr 0.0000 0.0000 0.0000
Pr 0.0000 0.0000 0.5000
Pr 0.0000 0.5000 0.0000
Pr 0.5000 0.0000 0.0000
Ir 0.3750 0.3750 0.3750
Ir 0.6250 0.6250 0.6250
O 0.2311 0.7563 0.7563
O 0.2437 0.2437 0.2437
O 0.2437 0.2437 0.7689
O 0.2437 0.7689 0.2437
O 0.7563 0.2311 0.7563
O 0.7563 0.7563 0.2311
O 0.7563 0.7563 0.7563
O 0.7689 0.2437 0.2437

The 10 most intense peaks (10 to 90 degrees two-theta), by angle:
| 2theta | I/Imax |
| --- | --- |
| 25.56 | 36 |
| 30.07 | 100 |
| 31.44 | 18 |
| 45.06 | 16 |
| 47.96 | 38 |
| 52.52 | 39 |
| 61.72 | 13 |
| 62.51 | 9 |
| 73.86 | 23 |
| 85.28 | 13 |


(8)
Theoretical powder diffractogram
Compound: PrIrO3
Radiation: a wavelength of 1.5418 Å
Structure: a cell relaxed with PBE

Cell and atoms:
a b c (Å): 5.9283 7.8460 5.4020
angles (deg): 90.00 90.00 90.00
Atoms (fractional coordinates):
Pr 0.0801 0.2500 0.0295
Pr 0.4199 0.7500 0.5295
Pr 0.5801 0.2500 0.4705
Pr 0.9199 0.7500 0.9705
Ir 0.0000 0.0000 0.5000
Ir 0.0000 0.5000 0.5000
Ir 0.5000 0.0000 0.0000
Ir 0.5000 0.5000 0.0000
O 0.0372 0.7500 0.3820
O 0.1942 0.5528 0.8206
O 0.1942 0.9472 0.8206
O 0.3058 0.0528 0.3206
O 0.3058 0.4472 0.3206
O 0.4628 0.2500 0.8820
O 0.5372 0.7500 0.1180
O 0.6942 0.5528 0.6794
O 0.6942 0.9472 0.6794
O 0.8058 0.0528 0.1794
O 0.8058 0.4472 0.1794
O 0.9628 0.2500 0.6180

The 10 most intense peaks (10 to 90 degrees two-theta), by angle:
| 2theta | I/Imax |
| --- | --- |
| 25.02 | 9 |
| 30.15 | 22 |
| 31.98 | 100 |
| 33.17 | 24 |
| 45.43 | 17 |
| 46.29 | 16 |
| 54.72 | 10 |
| 58.12 | 13 |
| 58.51 | 20 |
| 66.87 | 10 |


(9)
Theoretical powder diffractogram
Compound: Sr2IrPtO2
Radiation: a wavelength of 1.5418 Å
Structure: a cell relaxed with PBE

Cell and atoms:
a b c (Å): 3.8066 4.0474 7.2664
angles (deg): 90.00 90.00 90.00
Atoms (fractional coordinates):
Sr 0.0000 0.0000 0.2459
Sr 0.0000 0.0000 0.7541
Ir 0.5000 0.5000 0.5000
Pt 0.5000 0.5000 0.0000
O 0.0000 0.5000 0.5000
O 0.5000 0.0000 0.0000

The 10 most intense peaks (10 to 90 degrees two-theta), by angle:
| 2theta | I/Imax |
| --- | --- |
| 21.96 | 18 |
| 24.50 | 20 |
| 32.28 | 94 |
| 33.13 | 100 |
| 34.11 | 93 |
| 44.78 | 24 |
| 47.79 | 20 |
| 57.47 | 42 |
| 59.38 | 38 |
| 60.97 | 32 |


(10)
Theoretical powder diffractogram
Compound: Rb4IrO4
Radiation: a wavelength of 1.5418 Å
Structure: a cell relaxed with PBE

Cell and atoms:
a b c (Å): 5.8613 5.8613 6.3586
angles (deg): 104.04 104.04 67.73
Atoms (fractional coordinates):
Rb 0.1183 0.1183 0.3486
Rb 0.3104 0.3104 0.9086
Rb 0.6896 0.6896 0.0914
Rb 0.8817 0.8817 0.6514
Ir 0.5000 0.5000 0.5000
O 0.1805 0.5989 0.3079
O 0.4011 0.8195 0.6921
O 0.5989 0.1805 0.3079
O 0.8195 0.4011 0.6921

The 10 most intense peaks (10 to 90 degrees two-theta), by angle:
| 2theta | I/Imax |
| --- | --- |
| 14.57 | 29 |
| 16.58 | 29 |
| 27.31 | 100 |
| 31.31 | 86 |
| 31.42 | 97 |
| 39.01 | 56 |
| 50.81 | 39 |
| 50.96 | 41 |
| 56.35 | 16 |
| 63.73 | 17 |


(11)
Theoretical powder diffractogram
Compound: RbIrSO
Radiation: a wavelength of 1.5418 Å
Structure: a cell relaxed with PBE

Cell and atoms:
a b c (Å): 6.4296 8.9507 5.7249
angles (deg): 90.00 90.00 90.00
Atoms (fractional coordinates):
Rb 0.0678 0.1499 0.0000
Rb 0.4322 0.1499 0.5000
Rb 0.5678 0.8501 0.0000
Rb 0.9322 0.8501 0.5000
Ir 0.1145 0.6329 0.0019
Ir 0.3855 0.6329 0.5019
Ir 0.6145 0.3671 0.0019
Ir 0.8855 0.3671 0.5019
S 0.1553 0.4768 0.6913
S 0.3447 0.4768 0.1913
S 0.6553 0.5232 0.6913
S 0.8447 0.5232 0.1913
O 0.0509 0.8388 0.9839
O 0.4491 0.8388 0.4839
O 0.5509 0.1612 0.9839
O 0.9491 0.1612 0.4839

The 10 most intense peaks (10 to 90 degrees two-theta), by angle:
| 2theta | I/Imax |
| --- | --- |
| 16.98 | 17 |
| 24.23 | 39 |
| 28.88 | 100 |
| 31.25 | 35 |
| 31.93 | 59 |
| 39.93 | 26 |
| 51.86 | 19 |
| 52.31 | 29 |
| 54.16 | 17 |
| 57.53 | 18 |


(12)
Theoretical powder diffractogram
Compound: RbIrSO
Radiation: a wavelength of 1.5418 Å
Structure: a cell relaxed with PBE

Cell and atoms:
a b c (Å): 6.5440 5.9325 10.5995
angles (deg): 90.00 104.08 90.00
Atoms (fractional coordinates):
Rb 0.1185 0.0000 0.1126
Rb 0.2215 0.2774 0.4476
Rb 0.7785 0.7774 0.5524
Rb 0.8815 0.5000 0.8874
Ir 0.3261 0.4998 0.7902
Ir 0.4978 0.5339 0.0375
Ir 0.5022 0.0339 0.9625
Ir 0.6739 0.9998 0.2098
S 0.3163 0.7336 0.6232
S 0.4634 0.1662 0.7562
S 0.5366 0.6662 0.2438
S 0.6837 0.2336 0.3768
O 0.2800 0.2999 0.9524
O 0.3042 0.7647 0.9238
O 0.6958 0.2647 0.0762
O 0.7200 0.7999 0.0476

The 10 most intense peaks (10 to 90 degrees two-theta), by angle:
| 2theta | I/Imax |
| --- | --- |
| 13.95 | 74 |
| 14.51 | 100 |
| 17.26 | 49 |
| 27.32 | 55 |
| 29.07 | 27 |
| 30.12 | 31 |
| 31.39 | 44 |
| 33.56 | 26 |
| 37.60 | 31 |
| 42.49 | 41 |


(13)
Theoretical powder diffractogram
Compound: Ir3SeO5
Radiation: a wavelength of 1.5418 Å
Structure: a cell relaxed with PBE

Cell and atoms:
a b c (Å): 6.4740 6.4740 5.5602
angles (deg): 90.00 90.00 94.23
Atoms (fractional coordinates):
Ir 0.2166 0.7834 0.5000
Ir 0.2829 0.3236 0.7653
Ir 0.3236 0.2829 0.2653
Ir 0.6764 0.7171 0.7653
Ir 0.7171 0.6764 0.2653
Ir 0.7834 0.2166 0.0000
Se 0.3182 0.6818 0.9020
Se 0.6818 0.3182 0.4020
O 0.0891 0.2231 0.0276
O 0.1609 0.4688 0.4860
O 0.1905 0.8095 0.1374
O 0.2231 0.0891 0.5276
O 0.4688 0.1609 0.9860
O 0.5312 0.8391 0.4860
O 0.7769 0.9109 0.0276
O 0.8095 0.1905 0.6374
O 0.8391 0.5312 0.9860
O 0.9109 0.7769 0.5276

The 10 most intense peaks (10 to 90 degrees two-theta), by angle:
| 2theta | I/Imax |
| --- | --- |
| 13.72 | 18 |
| 21.09 | 27 |
| 27.63 | 100 |
| 31.90 | 25 |
| 37.50 | 47 |
| 38.28 | 34 |
| 45.96 | 16 |
| 46.45 | 17 |
| 53.87 | 22 |
| 54.99 | 17 |